# 1
The following is a calculated powder X-ray diffraction pattern of Sr3BCNCl2. It was derived from a DFT-relaxed cell (PBE, the Materials Project), using λ = 1.5418 Å (Cu Kα).

```
Sr3BCNCl2
1.0
14.687 0.000 0.000
0.000 4.090 0.000
0.000 0.000 11.783
Sr B C N Cl
12 4 4 4 8
Direct
0.117 0.250 0.131 Sr
0.145 0.750 0.442 Sr
0.173 0.750 0.809 Sr
0.327 0.250 0.309 Sr
0.355 0.250 0.942 Sr
0.383 0.750 0.631 Sr
0.617 0.250 0.369 Sr
0.645 0.750 0.058 Sr
0.673 0.750 0.691 Sr
0.827 0.250 0.191 Sr
0.855 0.250 0.558 Sr
0.883 0.750 0.869 Sr
0.245 0.750 0.117 B
0.255 0.250 0.617 B
0.745 0.750 0.383 B
0.755 0.250 0.883 B
0.219 0.750 0.235 C
0.281 0.250 0.735 C
0.719 0.750 0.265 C
0.781 0.250 0.765 C
0.248 0.250 0.501 N
0.252 0.750 0.001 N
0.748 0.250 0.999 N
0.752 0.750 0.499 N
0.000 0.250 0.361 Cl
0.000 0.750 0.639 Cl
0.038 0.250 0.891 Cl
0.462 0.750 0.391 Cl
0.500 0.250 0.139 Cl
0.500 0.750 0.861 Cl
0.538 0.250 0.609 Cl
0.962 0.750 0.109 Cl
```

Most intense lines, 2θ = 5–70°, sorted by position:
- (0 1 1), 23.02 deg, 3.864 Å, I 24
- (1 0 3), 23.44 deg, 3.794 Å, I 21
- (1 1 1), 23.81 deg, 3.737 Å, I 16
- (2 0 3), 25.72 deg, 3.463 Å, I 37
- (3 0 3), 29.15 deg, 3.064 Å, I 41
- (3 1 1), 29.45 deg, 3.033 Å, I 39
- (3 1 2), 32.32 deg, 2.770 Å, I 100
- (4 1 0), 32.77 deg, 2.733 Å, I 40
- (2 1 4), 39.65 deg, 2.273 Å, I 16
- (0 2 0), 44.32 deg, 2.044 Å, I 44
- (1 1 5), 44.81 deg, 2.022 Å, I 16
- (7 0 2), 45.90 deg, 1.977 Å, I 18

# 2
The following is a calculated powder X-ray diffraction pattern of Li2TiGeO5. It was derived from a DFT-relaxed cell (PBE, the Materials Project), using λ = 1.5418 Å (Cu Kα).

```
Li2TiGeO5
1.0
6.659 0.000 0.000
0.000 6.659 0.000
0.000 0.000 4.553
Li Ti Ge O
4 2 2 10
Direct
0.000 0.000 0.000 Li
0.000 0.500 0.000 Li
0.500 0.000 0.000 Li
0.500 0.500 0.000 Li
0.250 0.250 0.396 Ti
0.750 0.750 0.604 Ti
0.250 0.750 0.500 Ge
0.750 0.250 0.500 Ge
0.036 0.750 0.732 O
0.250 0.250 0.773 O
0.250 0.536 0.268 O
0.250 0.964 0.268 O
0.464 0.750 0.732 O
0.536 0.250 0.268 O
0.750 0.036 0.732 O
0.750 0.464 0.732 O
0.750 0.750 0.227 O
0.964 0.250 0.268 O
```

Most intense lines, 2θ = 5–70°, sorted by position:
- (0 0 1), 19.50 deg, 4.553 Å, I 72
- (1 0 1), 23.67 deg, 3.758 Å, I 23
- (2 0 0), 26.77 deg, 3.330 Å, I 100
- (1 1 1), 27.25 deg, 3.273 Å, I 18
- (2 0 1), 33.34 deg, 2.688 Å, I 91
- (2 2 0), 38.23 deg, 2.354 Å, I 17
- (2 2 1), 43.26 deg, 2.091 Å, I 26
- (4 0 0), 55.17 deg, 1.665 Å, I 26
- (2 2 2), 56.21 deg, 1.636 Å, I 24
- (3 1 2), 59.83 deg, 1.546 Å, I 17
- (4 2 0), 62.36 deg, 1.489 Å, I 13
- (4 2 1), 66.01 deg, 1.415 Å, I 23

# 3
The following is a calculated powder X-ray diffraction pattern of YIO. It was derived from a DFT-relaxed cell (PBE, the Materials Project), using λ = 1.5418 Å (Cu Kα).

```
YIO
1.0
3.953 0.000 0.000
0.000 3.953 0.000
0.000 0.000 9.590
Y I O
2 2 2
Direct
0.250 0.250 0.114 Y
0.750 0.750 0.886 Y
0.250 0.250 0.684 I
0.750 0.750 0.316 I
0.250 0.750 0.000 O
0.750 0.250 0.000 O
```

Most intense lines, 2θ = 5–70°, sorted by position:
- (0 0 1), 9.22 deg, 9.590 Å, I 16
- (1 0 1), 24.35 deg, 3.655 Å, I 14
- (1 0 2), 29.28 deg, 3.050 Å, I 100
- (1 1 0), 32.02 deg, 2.795 Å, I 47
- (1 0 3), 36.14 deg, 2.486 Å, I 23
- (1 1 2), 37.23 deg, 2.415 Å, I 13
- (1 0 4), 44.18 deg, 2.050 Å, I 10
- (2 0 0), 45.91 deg, 1.977 Å, I 23
- (2 1 2), 55.39 deg, 1.659 Å, I 32
- (1 1 5), 58.35 deg, 1.581 Å, I 17
- (2 1 3), 59.78 deg, 1.547 Å, I 10
- (2 0 5), 68.12 deg, 1.376 Å, I 8

Question: What is the formula in the second record?
Answer: Li2TiGeO5